Record 1
ZrB12: calculated X-ray powder pattern (Cu Kα X-rays), based on a GGA-PBE-relaxed structure.

Top 8 peaks for 10 to 80 degrees two-theta, in order of falling intensity:
| 2θ/deg | Rel. int. |
| --- | --- |
| 40.48 | 100 |
| 24.08 | 63 |
| 20.82 | 63 |
| 42.36 | 31 |
| 76.21 | 29 |
| 34.32 | 28 |
| 61.46 | 27 |
| 54.09 | 27 |

Atomic structure:
a b c (Å): 7.3910 7.3910 7.3910
angles (deg): 90.00 90.00 90.00
Space group Fm-3m (No. 225)
Unique sites:
1 Zr 0.0000 0.0000 0.0000 [4 per cell]
2 B 0.0000 0.1696 0.3304 [48 per cell]

Record 2
Gd2FeSi2WC: calculated X-ray powder pattern (Cu Kα X-rays), based on a GGA-PBE-relaxed structure.

Top 8 peaks for 10 to 80 degrees two-theta, in order of falling intensity:
| 2θ/deg | Rel. int. |
| --- | --- |
| 34.02 | 100 |
| 35.66 | 91 |
| 25.29 | 49 |
| 32.79 | 39 |
| 40.31 | 27 |
| 47.19 | 25 |
| 38.89 | 23 |
| 33.16 | 19 |

Atomic structure:
a b c (Å): 10.9130 3.8523 7.0547
angles (deg): 90.00 127.19 90.00
Space group Cm (No. 8)
Unique sites:
1 Gd 0.0000 0.0000 0.0000 [2 per cell]
2 Gd 0.1412 0.0000 0.5960 [2 per cell]
3 Fe 0.2742 0.5000 0.3802 [2 per cell]
4 Si 0.2015 0.5000 0.9752 [2 per cell]
5 Si 0.4148 0.0000 0.6039 [2 per cell]
6 W 0.3697 0.0000 0.2146 [2 per cell]
7 C 0.0798 0.5000 0.3036 [2 per cell]